This entry pairs a crystal structure of KLiSnAs2 with its simulated powder X-ray diffraction pattern. Radiation: Cu Ka. Structure: a structure optimized by DFT (GGA-PBE).

Principal peaks in the range 10 to 80 degrees two-theta, sorted by position:
2θ = 14.5°, I = 100
2θ = 21.6°, I = 42
2θ = 23.0°, I = 79
2θ = 23.9°, I = 90
2θ = 26.2°, I = 79
2θ = 28.5°, I = 86
2θ = 29.3°, I = 38
2θ = 34.4°, I = 92
2θ = 36.0°, I = 60
2θ = 41.6°, I = 61
2θ = 41.8°, I = 68
2θ = 44.5°, I = 68

Crystal structure
```
data_KLiSnAs2
_space_group_name_H-M_alt 'P 1'
_space_group_IT_number 1
_space_group_name_Hall 'P 1'
_cell_length_a 7.2504
_cell_length_b 7.2504
_cell_length_c 9.8196
_cell_angle_alpha 99.73
_cell_angle_beta 99.73
_cell_angle_gamma 34.70
loop_
_atom_site_label
_atom_site_type_symbol
_atom_site_fract_x
_atom_site_fract_y
_atom_site_fract_z
K1 K 0.1441 0.1441 0.1700
K2 K 0.8559 0.8559 0.8300
Li1 Li 0.1832 0.1832 0.5657
Li2 Li 0.8168 0.8168 0.4343
Sn1 Sn 0.4387 0.4387 0.3252
Sn2 Sn 0.5613 0.5613 0.6748
As1 As 0.1333 0.1333 0.8234
As2 As 0.3719 0.3719 0.5677
As3 As 0.6281 0.6281 0.4323
As4 As 0.8667 0.8667 0.1766
```